No. 1
Rb5InMo4O16: computed powder diffractogram (λ = 1.5418 Å (Cu Kα)), based on DFT lattice parameters and positions (GGA+U).
Kinematic intensities with the Lorentz-polarization factor, no thermal factor.

Crystal structure
```
data_Rb5InMo4O16
_cell_length_a 11.7459
_cell_length_b 8.1849
_cell_length_c 11.3529
_cell_angle_alpha 90.00
_cell_angle_beta 113.93
_cell_angle_gamma 90.00
_space_group_name_H-M_alt 'P 1 2/c 1'
_space_group_IT_number 13
loop_
_space_group_symop_operation_xyz
'x,y,z'
'-x,-y,-z'
'-x,y,-z+1/2'
'x,-y,z+1/2'
loop_
_atom_site_label
_atom_site_type_symbol
_atom_site_fract_x
_atom_site_fract_y
_atom_site_fract_z
Rb1 Rb 0.0000 0.1164 0.2500
Rb2 Rb 0.0937 0.3673 0.6440
Rb3 Rb 0.3932 0.1542 0.8458
In1 In 0.5000 0.4183 0.2500
Mo1 Mo 0.2170 0.1641 0.0582
Mo2 Mo 0.3098 0.3515 0.4456
O1 O 0.1238 0.2955 0.1072
O2 O 0.1499 0.4009 0.3951
O3 O 0.1532 0.1734 0.8858
O4 O 0.1997 0.0375 0.6094
O5 O 0.3295 0.1422 0.4218
O6 O 0.3763 0.4693 0.3520
O7 O 0.3821 0.2312 0.1242
O8 O 0.3897 0.3880 0.6199
```

Top 8 peaks for 5° ≤ 2θ ≤ 70°, low angle first:
Position (°2θ), intensity
25.97, 100
26.20, 49
26.67, 66
28.36, 49
32.77, 36
33.91, 23
40.95, 24
45.06, 16

No. 2
In2SbMoO8: computed powder diffractogram (λ = 1.5418 Å (Cu Kα)), based on DFT lattice parameters and positions (GGA+U).
Kinematic intensities with the Lorentz-polarization factor, no thermal factor.

Crystal structure
```
data_In2SbMoO8
_cell_length_a 6.7450
_cell_length_b 6.9783
_cell_length_c 6.4803
_cell_angle_alpha 90.00
_cell_angle_beta 90.00
_cell_angle_gamma 90.00
_space_group_name_H-M_alt 'C m m m'
_space_group_IT_number 65
_space_group_name_Hall '-C 2 2'
loop_
_atom_site_label
_atom_site_type_symbol
_atom_site_fract_x
_atom_site_fract_y
_atom_site_fract_z
In1 In 0.0000 0.0000 0.2494
Sb1 Sb 0.0000 0.5000 0.0000
Mo1 Mo 0.0000 0.5000 0.5000
O1 O 0.0000 0.3182 0.2500
O2 O 0.2071 0.0000 0.0000
O3 O 0.2133 0.0000 0.5000
```

Top 8 peaks for 5° ≤ 2θ ≤ 70°, low angle first:
Position (°2θ), intensity
25.53, 68
26.43, 58
33.25, 100
37.07, 28
50.14, 45
51.15, 38
54.41, 10
64.41, 24

No. 3
TlInMo2O8: computed powder diffractogram (λ = 1.5418 Å (Cu Kα)), based on DFT lattice parameters and positions (GGA+U).
Kinematic intensities with the Lorentz-polarization factor, no thermal factor.

Crystal structure
```
data_TlInMo2O8
_cell_length_a 15.7190
_cell_length_b 5.9530
_cell_length_c 9.2765
_cell_angle_alpha 90.00
_cell_angle_beta 90.00
_cell_angle_gamma 90.00
_space_group_name_H-M_alt 'P n m a'
_space_group_IT_number 62
loop_
_space_group_symop_operation_xyz
'x,y,z'
'-x,-y,-z'
'-x+1/2,-y,z+1/2'
'x+1/2,y,-z+1/2'
'x+1/2,-y+1/2,-z+1/2'
'-x+1/2,y+1/2,z+1/2'
'-x,y+1/2,-z'
'x,-y+1/2,z'
loop_
_atom_site_label
_atom_site_type_symbol
_atom_site_fract_x
_atom_site_fract_y
_atom_site_fract_z
Tl1 Tl 0.1237 0.2500 0.0789
In1 In 0.1191 0.7500 0.6796
Mo1 Mo 0.0279 0.7500 0.2887
Mo2 Mo 0.2199 0.2500 0.4893
O1 O 0.0334 0.0038 0.7630
O2 O 0.0515 0.7500 0.4777
O3 O 0.1218 0.7500 0.1860
O4 O 0.1358 0.2500 0.3657
O5 O 0.1824 0.7500 0.8866
O6 O 0.2100 0.5035 0.5977
```

Top 8 peaks for 5° ≤ 2θ ≤ 70°, low angle first:
Position (°2θ), intensity
19.96, 31
22.26, 39
24.58, 100
26.88, 67
28.87, 65
30.02, 71
32.63, 28
45.39, 37

No. 4
TmIn2MoO8: computed powder diffractogram (λ = 1.5418 Å (Cu Kα)), based on DFT lattice parameters and positions (GGA+U).
Kinematic intensities with the Lorentz-polarization factor, no thermal factor.

Crystal structure
```
data_TmIn2MoO8
_cell_length_a 6.9247
_cell_length_b 7.0475
_cell_length_c 6.5917
_cell_angle_alpha 90.00
_cell_angle_beta 90.00
_cell_angle_gamma 90.00
_space_group_name_H-M_alt 'C m m m'
_space_group_IT_number 65
_space_group_name_Hall '-C 2 2'
loop_
_atom_site_label
_atom_site_type_symbol
_atom_site_fract_x
_atom_site_fract_y
_atom_site_fract_z
Tm1 Tm 0.0000 0.0000 0.0000
In1 In 0.0000 0.5000 0.2539
Mo1 Mo 0.0000 0.0000 0.5000
O1 O 0.0000 0.1847 0.2831
O2 O 0.1908 0.5000 0.0000
O3 O 0.2133 0.5000 0.5000
```

Top 8 peaks for 5° ≤ 2θ ≤ 70°, low angle first:
Position (°2θ), intensity
25.27, 64
25.73, 59
32.66, 100
36.38, 29
49.43, 42
49.94, 39
59.50, 11
63.12, 24

No. 5
UIn2MoO8: computed powder diffractogram (λ = 1.5418 Å (Cu Kα)), based on DFT lattice parameters and positions (GGA+U).
Kinematic intensities with the Lorentz-polarization factor, no thermal factor.

Crystal structure
```
data_UIn2MoO8
_cell_length_a 6.8993
_cell_length_b 7.1152
_cell_length_c 6.6242
_cell_angle_alpha 90.00
_cell_angle_beta 90.00
_cell_angle_gamma 90.00
_space_group_name_H-M_alt 'C m m m'
_space_group_IT_number 65
_space_group_name_Hall '-C 2 2'
loop_
_atom_site_label
_atom_site_type_symbol
_atom_site_fract_x
_atom_site_fract_y
_atom_site_fract_z
U1 U 0.0000 0.0000 0.0000
In1 In 0.0000 0.5000 0.2582
Mo1 Mo 0.0000 0.0000 0.5000
O1 O 0.0000 0.1860 0.2486
O2 O 0.1994 0.5000 0.0000
O3 O 0.2088 0.5000 0.5000
```

Top 8 peaks for 5° ≤ 2θ ≤ 70°, low angle first:
Position (°2θ), intensity
22.41, 18
25.03, 63
25.83, 56
32.52, 100
36.27, 30
49.05, 44
49.95, 38
62.90, 24

No. 6
YIn2MoO8: computed powder diffractogram (λ = 1.5418 Å (Cu Kα)), based on DFT lattice parameters and positions (GGA+U).
Kinematic intensities with the Lorentz-polarization factor, no thermal factor.

Crystal structure
```
data_YIn2MoO8
_cell_length_a 4.9437
_cell_length_b 6.6659
_cell_length_c 4.9452
_cell_angle_alpha 90.00
_cell_angle_beta 90.83
_cell_angle_gamma 90.00
_space_group_name_H-M_alt 'P 1 2/m 1'
_space_group_IT_number 10
loop_
_space_group_symop_operation_xyz
'x,y,z'
'-x,-y,-z'
'-x,y,-z'
'x,-y,z'
loop_
_atom_site_label
_atom_site_type_symbol
_atom_site_fract_x
_atom_site_fract_y
_atom_site_fract_z
Y1 Y 0.0000 0.0000 0.0000
In1 In 0.5000 0.2563 0.5000
Mo1 Mo 0.0000 0.5000 0.0000
O1 O 0.1862 0.2870 0.8145
O2 O 0.2861 0.5000 0.2869
O3 O 0.3131 0.0000 0.3145
```

Top 8 peaks for 5° ≤ 2θ ≤ 70°, low angle first:
Position (°2θ), intensity
25.29, 66
25.67, 62
32.40, 100
36.34, 27
49.26, 43
49.68, 41
61.57, 11
62.91, 25